# AcCu3P3
Computed powder XRD pattern, Cu Kα (weighted mean of Kα1 and Kα2). Input: DFT lattice parameters and positions (GGA-PBE).
Peak positions follow from Bragg's law for the DFT cell and can differ from measured ones.

Principal peaks in the range 10° ≤ 2θ ≤ 90°, in order of rising 2θ:
2theta, I (rel.), index
19.68, 26, 1 1 0
27.97, 43, 2 0 0
31.35, 7, 2 1 0
34.44, 100, 2 1 1
44.93, 7, 3 1 0
53.76, 56, 3 2 1
57.81, 14, 4 0 0
65.43, 15, 4 2 0
69.06, 13, 3 3 2
76.08, 5, 5 1 0
82.89, 16, 5 2 1
86.25, 9, 4 4 0

Crystal structure
Cell lengths 6.379, 6.379, 6.379 Å; angles 90.00, 90.00, 90.00 degrees
Space group Pm-3n (No. 223)
Asymmetric unit:
Ac: 0.000 0.000 0.000 x2
Cu: 0.000 0.250 0.500 x6
P: 0.000 0.500 0.250 x6